(1)
Ho4Er2TmSc: computed powder diffraction line list (copper Kα), based on a cell relaxed with PBE.
Intensities are scaled so that the largest is 100.

Structure:
a b c (Å): 4.927 4.927 9.833
angles (deg): 90.00 90.00 90.00
Space group P4/mmm (No. 123)
Asymmetric unit:
Ho 0.000 0.500 0.246 [4 per cell]
Er 0.000 0.000 0.000 [1 per cell]
Er 0.500 0.500 0.500 [1 per cell]
Tm 0.000 0.000 0.500 [1 per cell]
Sc 0.500 0.500 0.000 [1 per cell]

The 6 most intense peaks (5 to 70 degrees two-theta), low angle first:
Position (°2θ)  I (rel.)  hkl
31.5  100  1 1 2
36.5  50  2 0 0
52.6  35  2 2 0
62.5  28  3 1 2
62.6  14  1 1 6
65.7  12  2 2 4

=====

(2)
Ho2ErTmSc2: computed powder diffraction line list (copper Kα), based on a cell relaxed with PBE.
Intensities are scaled so that the largest is 100.

Structure:
a b c (Å): 6.825 9.309 5.395
angles (deg): 90.00 90.00 90.00
Space group Pnnm (No. 58)
Asymmetric unit:
Ho 0.250 0.166 0.000 [4 per cell]
Er 0.000 0.000 0.500 [2 per cell]
Tm 0.000 0.500 0.000 [2 per cell]
Sc 0.250 0.333 0.500 [4 per cell]

The 6 most intense peaks (5 to 70 degrees two-theta), low angle first:
Position (°2θ)  I (rel.)  hkl
23.1  33  1 2 0
32.5  100  2 1 1
33.3  90  0 3 1
47.2  35  2 4 0
59.0  24  2 4 2
64.7  26  4 3 1

=====

(3)
Y2HoEr6Sc: computed powder diffraction line list (copper Kα), based on a cell relaxed with PBE.
Intensities are scaled so that the largest is 100.

Structure:
a b c (Å): 8.978 14.736 9.342
angles (deg): 90.00 97.09 90.00
Space group C2/c (No. 15)
Asymmetric unit:
Y 0.248 0.051 0.453 [8 per cell]
Ho 0.000 0.477 0.250 [4 per cell]
Er 0.060 0.313 0.943 [8 per cell]
Er 0.100 0.108 0.116 [8 per cell]
Er 0.212 0.279 0.310 [8 per cell]
Sc 0.000 0.087 0.750 [4 per cell]

The 6 most intense peaks (5 to 70 degrees two-theta), low angle first:
Position (°2θ)  I (rel.)  hkl
29.2  40  1 3 2
31.1  61  3 1 -1
31.4  36  0 2 3
32.0  100  2 2 2
32.2  33  2 4 -1
34.7  35  1 3 -3